This entry pairs a crystal structure of Tb3Ge3Pt with its calculated powder diffraction line list. Radiation: λ = 1.5418 Å (Cu Kα). Structure: a crystal structure in Alexandria, relaxed with PBE.

Crystal structure
Cell lengths 5.7484, 5.7484, 14.0593 Å; angles 108.40, 108.40, 44.29 degrees
Atoms (fractional coordinates):
Tb (0.0331, 0.0331, 0.3786)
Tb (0.1013, 0.1013, 0.9238)
Tb (0.2432, 0.2432, 0.2279)
Tb (0.7568, 0.7568, 0.7721)
Tb (0.8987, 0.8987, 0.0762)
Tb (0.9669, 0.9669, 0.6214)
Ge (0.3657, 0.3657, 0.4617)
Ge (0.3790, 0.3790, 0.9255)
Ge (0.4695, 0.4695, 0.7707)
Ge (0.5305, 0.5305, 0.2293)
Ge (0.6210, 0.6210, 0.0745)
Ge (0.6343, 0.6343, 0.5383)
Pt (0.2503, 0.2503, 0.6124)
Pt (0.7497, 0.7497, 0.3876)

Main lines, sorted by position (2θ from 10° to 90°):
32.3 deg, rel. 100.0
32.8 deg, rel. 70.7
32.9 deg, rel. 46.0
33.7 deg, rel. 42.5
40.0 deg, rel. 81.7
41.7 deg, rel. 65.8


This entry pairs a crystal structure of Cs2HgBr6Cl with its calculated powder diffraction line list. Radiation: λ = 1.5418 Å (Cu Kα). Structure: a crystal structure in Alexandria, relaxed with PBE.

Crystal structure
Cell lengths 8.1337, 8.1337, 8.1337 Å; angles 121.56, 121.56, 87.32 degrees
Atoms (fractional coordinates):
Cs (0.2500, 0.7500, 0.5000)
Cs (0.7500, 0.2500, 0.5000)
Hg (0.0000, 0.0000, 0.0000)
Br (0.2194, 0.2194, 0.0000)
Br (0.2542, 0.2542, 0.5084)
Br (0.2542, 0.7458, 0.0000)
Br (0.7458, 0.2542, 0.0000)
Br (0.7458, 0.7458, 0.4916)
Br (0.7806, 0.7806, 0.0000)
Cl (0.5000, 0.5000, 0.0000)

Main lines, sorted by position (2θ from 10° to 90°):
13.5 deg, rel. 50.7
21.9 deg, rel. 61.8
27.1 deg, rel. 80.5
30.4 deg, rel. 51.8
31.9 deg, rel. 100.0
44.6 deg, rel. 70.4


This entry pairs a crystal structure of Fe3AuI12 with its calculated powder diffraction line list. Radiation: λ = 1.5418 Å (Cu Kα). Structure: a crystal structure in Alexandria, relaxed with PBE.

Crystal structure
Cell lengths 13.0796, 13.0796, 13.0796 Å; angles 63.72, 63.72, 63.72 degrees
Atoms (fractional coordinates):
Fe (0.0012, 0.9530, 0.5458)
Fe (0.0458, 0.4530, 0.5012)
Fe (0.4530, 0.5012, 0.0458)
Fe (0.5012, 0.0458, 0.4530)
Fe (0.5458, 0.0012, 0.9530)
Fe (0.9530, 0.5458, 0.0012)
Au (0.2136, 0.2136, 0.2136)
Au (0.7136, 0.7136, 0.7136)
I (0.0142, 0.1122, 0.3374)
I (0.0432, 0.7015, 0.9491)
I (0.0479, 0.2787, 0.6881)
I (0.0682, 0.4117, 0.3168)
I (0.1122, 0.3374, 0.0142)
I (0.1881, 0.7787, 0.5479)
I (0.2015, 0.5432, 0.4491)
I (0.2787, 0.6881, 0.0479)
I (0.3168, 0.0682, 0.4117)
I (0.3374, 0.0142, 0.1122)
I (0.4117, 0.3168, 0.0682)
I (0.4491, 0.2015, 0.5432)
I (0.5142, 0.8374, 0.6122)
I (0.5432, 0.4491, 0.2015)
I (0.5479, 0.1881, 0.7787)
I (0.5682, 0.8168, 0.9117)
I (0.6122, 0.5142, 0.8374)
I (0.6881, 0.0479, 0.2787)
I (0.7015, 0.9491, 0.0432)
I (0.7787, 0.5479, 0.1881)
I (0.8168, 0.9117, 0.5682)
I (0.8374, 0.6122, 0.5142)
I (0.9117, 0.5682, 0.8168)
I (0.9491, 0.0432, 0.7015)

Main lines, sorted by position (2θ from 10° to 90°):
18.7 deg, rel. 43.4
19.9 deg, rel. 52.9
20.5 deg, rel. 53.0
27.2 deg, rel. 66.0
28.2 deg, rel. 100.0
30.3 deg, rel. 56.7


This entry pairs a crystal structure of Be3P with its calculated powder diffraction line list. Radiation: λ = 1.5418 Å (Cu Kα). Structure: a crystal structure in Alexandria, relaxed with PBE.

Crystal structure
Cell lengths 3.2769, 3.2769, 7.1484 Å; angles 90.00, 90.00, 90.00 degrees
Atoms (fractional coordinates):
Be (0.0000, 0.0000, 0.0000)
Be (0.0000, 0.5000, 0.2500)
Be (0.0000, 0.5000, 0.7500)
Be (0.5000, 0.0000, 0.2500)
Be (0.5000, 0.0000, 0.7500)
Be (0.5000, 0.5000, 0.5000)
P (0.0000, 0.0000, 0.5000)
P (0.5000, 0.5000, 0.0000)

Main lines, sorted by position (2θ from 10° to 90°):
24.9 deg, rel. 40.4
30.0 deg, rel. 97.3
38.9 deg, rel. 22.8
46.7 deg, rel. 100.0
47.2 deg, rel. 25.1
56.1 deg, rel. 28.3


This entry pairs a crystal structure of Rb3CdAs2 with its calculated powder diffraction line list. Radiation: λ = 1.5418 Å (Cu Kα). Structure: a crystal structure in Alexandria, relaxed with PBE.

Crystal structure
Cell lengths 9.4776, 9.4776, 9.4776 Å; angles 127.27, 71.22, 135.75 degrees
Atoms (fractional coordinates):
Rb (0.1806, 0.6913, 0.8719)
Rb (0.2500, 0.2500, 0.0000)
Rb (0.3194, 0.1913, 0.5106)
Rb (0.6806, 0.8087, 0.4894)
Rb (0.7500, 0.7500, 0.0000)
Rb (0.8194, 0.3087, 0.1281)
Cd (0.2500, 0.7500, 0.5000)
Cd (0.7500, 0.2500, 0.5000)
As (0.0953, 0.3114, 0.4067)
As (0.4047, 0.8114, 0.2162)
As (0.5953, 0.1886, 0.7838)
As (0.9047, 0.6886, 0.5933)

Main lines, sorted by position (2θ from 10° to 90°):
11.5 deg, rel. 66.8
12.0 deg, rel. 59.8
24.1 deg, rel. 68.0
28.4 deg, rel. 100.0
32.9 deg, rel. 99.4
34.2 deg, rel. 54.6


This entry pairs a crystal structure of InGa2Hg with its calculated powder diffraction line list. Radiation: λ = 1.5418 Å (Cu Kα). Structure: a crystal structure in Alexandria, relaxed with PBE.

Crystal structure
Cell lengths 4.4875, 4.4875, 4.4928 Å; angles 90.00, 90.00, 90.00 degrees
Atoms (fractional coordinates):
In (0.0000, 0.0000, 0.0000)
Ga (0.0000, 0.5000, 0.5000)
Ga (0.5000, 0.0000, 0.5000)
Hg (0.5000, 0.5000, 0.0000)

Main lines, sorted by position (2θ from 10° to 90°):
19.8 deg, rel. 19.0
28.1 deg, rel. 16.7
34.6 deg, rel. 100.0
40.2 deg, rel. 49.8
58.1 deg, rel. 33.3
69.4 deg, rel. 38.9


Which formula does entry 6 have?
InGa2Hg


Number 3 is which compound?
Fe3AuI12